(1)
Diffraction record for K3LuF6. The powder diffraction line list is simulated, not measured: it uses a PBE-relaxed structure and Cu Kα X-rays.
No peak broadening, texture or thermal motion is included.

Largest 6 diffraction maxima, low angle first, 10° ≤ 2θ ≤ 80°:
2θ/deg, I (rel.)
16.51, 69
19.09, 52
27.12, 100
31.92, 31
38.74, 47
47.93, 39

Atomic structure:
Cell: 9.2986 9.2986 9.2986 Å, 90.00 90.00 90.00°
Space group Fm-3m (No. 225)
Asymmetric unit:
K 0.0000 0.0000 0.0000
K 0.2500 0.2500 0.2500
Lu 0.0000 0.0000 0.5000
F 0.0000 0.0000 0.2727


(2)
Diffraction record for K2LuF5. The powder diffraction line list is simulated, not measured: it uses a PBE-relaxed structure and Cu Kα X-rays.
No peak broadening, texture or thermal motion is included.

Largest 6 diffraction maxima, low angle first, 10° ≤ 2θ ≤ 80°:
2θ/deg, I (rel.)
15.62, 100
16.03, 52
27.71, 56
29.51, 67
29.74, 43
40.58, 30

Atomic structure:
Cell: 11.0600 7.1565 6.6098 Å, 90.00 90.00 90.00°
Space group Pnma (No. 62)
Asymmetric unit:
K 0.1733 0.0022 0.0262
Lu 0.0000 0.2500 0.5653
F 0.0133 0.2500 0.8905
F 0.0773 0.5339 0.6399
F 0.1572 0.2500 0.3705
F 0.1875 0.7500 0.3342


(3)
Diffraction record for KLu3F10. The powder diffraction line list is simulated, not measured: it uses a PBE-relaxed structure and Cu Kα X-rays.
No peak broadening, texture or thermal motion is included.

Largest 6 diffraction maxima, low angle first, 10° ≤ 2θ ≤ 80°:
2θ/deg, I (rel.)
26.47, 44
27.13, 37
29.01, 100
45.08, 35
49.12, 33
53.41, 40

Atomic structure:
Cell: 8.0447 8.0447 13.1480 Å, 90.00 90.00 120.00°
Space group P6_3mc (No. 186)
Asymmetric unit:
K 0.0000 0.0000 0.0000
K 0.3333 0.6667 0.2376
Lu 0.0112 0.5056 0.4903
Lu 0.1742 0.3483 0.7320
F 0.0033 0.3386 0.8605
F 0.0383 0.5191 0.6667
F 0.1098 0.2196 0.1976
F 0.1843 0.3685 0.5551
F 0.2225 0.4450 0.0267
F 0.3333 0.6667 0.4450
F 0.3333 0.6667 0.7820


(4)
Diffraction record for K2MgF4. The powder diffraction line list is simulated, not measured: it uses a PBE-relaxed structure and Cu Kα X-rays.
No peak broadening, texture or thermal motion is included.

Largest 6 diffraction maxima, low angle first, 10° ≤ 2θ ≤ 80°:
2θ/deg, I (rel.)
29.89, 80
31.35, 100
40.54, 61
41.64, 91
44.93, 99
62.10, 52

Atomic structure:
Cell: 4.0352 4.0352 13.3505 Å, 90.00 90.00 90.00°
Space group I4/mmm (No. 139)
Asymmetric unit:
K 0.0000 0.0000 0.1482
Mg 0.0000 0.0000 0.5000
F 0.0000 0.0000 0.3479
F 0.0000 0.5000 0.0000